1.
This entry pairs a crystal structure of Tb5Co2B6 with its theoretical powder X-ray diffraction pattern. Radiation: Cu Ka. Structure: a DFT-relaxed cell (PBE, OQMD).

Cell and atoms:
```
data_Tb5Co2B6
_chemical_formula_sum 'Tb5 Co2 B6'
_cell_length_a 8.3988
_cell_length_b 8.3988
_cell_length_c 8.3988
_cell_angle_alpha 37.55
_cell_angle_beta 37.55
_cell_angle_gamma 37.55
_symmetry_space_group_name_H-M 'P 1'
_symmetry_Int_Tables_number 1
_symmetry_space_group_name_Hall 'P 1'
loop_
_atom_site_label
_atom_site_type_symbol
_atom_site_fract_x
_atom_site_fract_y
_atom_site_fract_z
Tb1 Tb 0.0000 0.0000 0.0000
Tb2 Tb 0.2516 0.2516 0.2516
Tb3 Tb 0.4161 0.4161 0.4161
Tb4 Tb 0.5839 0.5839 0.5839
Tb5 Tb 0.7484 0.7484 0.7484
Co1 Co 0.1202 0.1202 0.1202
Co2 Co 0.8798 0.8798 0.8798
B1 B 0.1683 0.5000 0.8317
B2 B 0.1683 0.8317 0.5000
B3 B 0.5000 0.1683 0.8317
B4 B 0.5000 0.8317 0.1683
B5 B 0.8317 0.1683 0.5000
B6 B 0.8317 0.5000 0.1683
```

Peak list (10 most intense, 10 to 90 degrees two-theta, low angle first)
| 2θ/deg | d [Å] | I_rel |
| --- | --- | --- |
| 22.81 | 3.899 | 21 |
| 26.94 | 3.309 | 21 |
| 32.93 | 2.720 | 35 |
| 33.14 | 2.703 | 100 |
| 36.22 | 2.480 | 20 |
| 40.62 | 2.221 | 39 |
| 58.37 | 1.581 | 22 |
| 59.07 | 1.564 | 13 |
| 59.21 | 1.560 | 22 |
| 69.57 | 1.351 | 14 |

***

2.
This entry pairs a crystal structure of Tm4CoB13 with its theoretical powder X-ray diffraction pattern. Radiation: Cu Ka. Structure: a DFT-relaxed cell (PBE, OQMD).

Cell and atoms:
```
data_Tm4CoB13
_chemical_formula_sum 'Tm8 Co2 B26'
_cell_length_a 7.2410
_cell_length_b 7.2410
_cell_length_c 6.7971
_cell_angle_alpha 90.00
_cell_angle_beta 90.00
_cell_angle_gamma 90.00
_symmetry_space_group_name_H-M 'P 1'
_symmetry_Int_Tables_number 1
_symmetry_space_group_name_Hall 'P 1'
loop_
_atom_site_label
_atom_site_type_symbol
_atom_site_fract_x
_atom_site_fract_y
_atom_site_fract_z
Tm1 Tm 0.1812 0.3157 0.0000
Tm2 Tm 0.1843 0.3188 0.5000
Tm3 Tm 0.3157 0.8188 0.0000
Tm4 Tm 0.3188 0.8157 0.5000
Tm5 Tm 0.6812 0.1843 0.5000
Tm6 Tm 0.6843 0.1812 0.0000
Tm7 Tm 0.8157 0.6812 0.5000
Tm8 Tm 0.8188 0.6843 0.0000
Co1 Co 0.0000 0.0000 0.5000
Co2 Co 0.5000 0.5000 0.0000
B1 B 0.0000 0.0000 0.0000
B2 B 0.0392 0.8295 0.2452
B3 B 0.0392 0.8295 0.7548
B4 B 0.0899 0.5899 0.2500
B5 B 0.0899 0.5899 0.7500
B6 B 0.1705 0.0392 0.2452
B7 B 0.1705 0.0392 0.7548
B8 B 0.3295 0.5392 0.2548
B9 B 0.3295 0.5392 0.7452
B10 B 0.4101 0.0899 0.2500
B11 B 0.4101 0.0899 0.7500
B12 B 0.4608 0.3295 0.2548
B13 B 0.4608 0.3295 0.7452
B14 B 0.5000 0.5000 0.5000
B15 B 0.5392 0.6705 0.2548
B16 B 0.5392 0.6705 0.7452
B17 B 0.5899 0.9101 0.2500
B18 B 0.5899 0.9101 0.7500
B19 B 0.6705 0.4608 0.2548
B20 B 0.6705 0.4608 0.7452
B21 B 0.8295 0.9608 0.2452
B22 B 0.8295 0.9608 0.7548
B23 B 0.9101 0.4101 0.2500
B24 B 0.9101 0.4101 0.7500
B25 B 0.9608 0.1705 0.2452
B26 B 0.9608 0.1705 0.7548
```

Peak list (10 most intense, 10 to 90 degrees two-theta, low angle first)
| 2θ/deg | d [Å] | I_rel |
| --- | --- | --- |
| 24.59 | 3.621 | 41 |
| 26.22 | 3.399 | 59 |
| 27.54 | 3.238 | 98 |
| 36.25 | 2.478 | 41 |
| 38.40 | 2.344 | 100 |
| 44.30 | 2.045 | 22 |
| 47.90 | 1.899 | 28 |
| 52.08 | 1.756 | 38 |
| 59.22 | 1.560 | 41 |
| 78.29 | 1.221 | 23 |

***

3.
This entry pairs a crystal structure of UCo3B2 with its theoretical powder X-ray diffraction pattern. Radiation: Cu Ka. Structure: a DFT-relaxed cell (PBE, OQMD).

Cell and atoms:
```
data_UCo3B2
_chemical_formula_sum 'U1 Co3 B2'
_cell_length_a 4.9597
_cell_length_b 4.9597
_cell_length_c 2.9903
_cell_angle_alpha 90.00
_cell_angle_beta 90.00
_cell_angle_gamma 120.00
_symmetry_space_group_name_H-M 'P 1'
_symmetry_Int_Tables_number 1
_symmetry_space_group_name_Hall 'P 1'
loop_
_atom_site_label
_atom_site_type_symbol
_atom_site_fract_x
_atom_site_fract_y
_atom_site_fract_z
U1 U 0.0000 0.0000 0.0000
Co1 Co 0.0000 0.5000 0.5000
Co2 Co 0.5000 0.0000 0.5000
Co3 Co 0.5000 0.5000 0.5000
B1 B 0.3333 0.6667 0.0000
B2 B 0.6667 0.3333 0.0000
```

Peak list (10 most intense, 10 to 90 degrees two-theta, low angle first)
| 2θ/deg | d [Å] | I_rel |
| --- | --- | --- |
| 20.68 | 4.295 | 60 |
| 36.22 | 2.480 | 21 |
| 36.62 | 2.454 | 100 |
| 42.07 | 2.148 | 70 |
| 47.64 | 1.909 | 55 |
| 65.41 | 1.427 | 38 |
| 73.31 | 1.291 | 16 |
| 76.89 | 1.240 | 13 |
| 77.85 | 1.227 | 23 |
| 88.31 | 1.107 | 18 |

***

4.
This entry pairs a crystal structure of CoB3W3 with its theoretical powder X-ray diffraction pattern. Radiation: Cu Ka. Structure: a DFT-relaxed cell (PBE, OQMD).

Cell and atoms:
```
data_CoB3W3
_chemical_formula_sum 'Co2 B6 W6'
_cell_length_a 4.5225
_cell_length_b 4.5225
_cell_length_c 10.7846
_cell_angle_alpha 90.00
_cell_angle_beta 90.00
_cell_angle_gamma 138.72
_symmetry_space_group_name_H-M 'P 1'
_symmetry_Int_Tables_number 1
_symmetry_space_group_name_Hall 'P 1'
loop_
_atom_site_label
_atom_site_type_symbol
_atom_site_fract_x
_atom_site_fract_y
_atom_site_fract_z
Co1 Co 0.0000 0.0000 0.0000
Co2 Co 0.0000 0.0000 0.5000
B1 B 0.2904 0.7096 0.7500
B2 B 0.4140 0.5860 0.6024
B3 B 0.4140 0.5860 0.8976
B4 B 0.5860 0.4140 0.1024
B5 B 0.5860 0.4140 0.3976
B6 B 0.7096 0.2904 0.2500
W1 W 0.0025 0.9975 0.2500
W2 W 0.2889 0.7111 0.1065
W3 W 0.2889 0.7111 0.3935
W4 W 0.7111 0.2889 0.6065
W5 W 0.7111 0.2889 0.8935
W6 W 0.9975 0.0025 0.7500
```

Peak list (10 most intense, 10 to 90 degrees two-theta, low angle first)
| 2θ/deg | d [Å] | I_rel |
| --- | --- | --- |
| 26.78 | 3.329 | 34 |
| 31.10 | 2.876 | 60 |
| 39.24 | 2.296 | 75 |
| 39.64 | 2.274 | 98 |
| 42.78 | 2.114 | 100 |
| 45.34 | 2.000 | 54 |
| 50.06 | 1.822 | 42 |
| 68.54 | 1.369 | 34 |
| 72.25 | 1.308 | 35 |
| 72.40 | 1.305 | 33 |

***

5.
This entry pairs a crystal structure of YCoB4 with its theoretical powder X-ray diffraction pattern. Radiation: Cu Ka. Structure: a DFT-relaxed cell (PBE, OQMD).

Cell and atoms:
```
data_YCoB4
_chemical_formula_sum 'Y4 Co4 B16'
_cell_length_a 5.8920
_cell_length_b 11.4147
_cell_length_c 3.3823
_cell_angle_alpha 90.00
_cell_angle_beta 90.00
_cell_angle_gamma 90.00
_symmetry_space_group_name_H-M 'P 1'
_symmetry_Int_Tables_number 1
_symmetry_space_group_name_Hall 'P 1'
loop_
_atom_site_label
_atom_site_type_symbol
_atom_site_fract_x
_atom_site_fract_y
_atom_site_fract_z
Y1 Y 0.1280 0.1500 0.0000
Y2 Y 0.3720 0.6500 0.0000
Y3 Y 0.6280 0.3500 0.0000
Y4 Y 0.8720 0.8500 0.0000
Co1 Co 0.1348 0.4109 0.0000
Co2 Co 0.3652 0.9109 0.0000
Co3 Co 0.6348 0.0891 0.0000
Co4 Co 0.8652 0.5891 0.0000
B1 B 0.0225 0.6908 0.5000
B2 B 0.1108 0.5462 0.5000
B3 B 0.1391 0.9676 0.5000
B4 B 0.2174 0.8157 0.5000
B5 B 0.2826 0.3157 0.5000
B6 B 0.3609 0.4676 0.5000
B7 B 0.3892 0.0462 0.5000
B8 B 0.4775 0.1908 0.5000
B9 B 0.5225 0.8092 0.5000
B10 B 0.6108 0.9538 0.5000
B11 B 0.6391 0.5324 0.5000
B12 B 0.7174 0.6843 0.5000
B13 B 0.7826 0.1843 0.5000
B14 B 0.8609 0.0324 0.5000
B15 B 0.8892 0.4538 0.5000
B16 B 0.9775 0.3092 0.5000
```

Peak list (10 most intense, 10 to 90 degrees two-theta, low angle first)
| 2θ/deg | d [Å] | I_rel |
| --- | --- | --- |
| 26.35 | 3.382 | 58 |
| 27.91 | 3.196 | 18 |
| 31.35 | 2.853 | 79 |
| 34.94 | 2.568 | 19 |
| 38.65 | 2.329 | 20 |
| 38.76 | 2.323 | 22 |
| 41.40 | 2.181 | 100 |
| 44.28 | 2.045 | 27 |
| 47.39 | 1.918 | 31 |
| 64.00 | 1.455 | 19 |

***

6.
This entry pairs a crystal structure of Y5Co2B6 with its theoretical powder X-ray diffraction pattern. Radiation: Cu Ka. Structure: a DFT-relaxed cell (PBE, OQMD).

Cell and atoms:
```
data_Y5Co2B6
_chemical_formula_sum 'Y5 Co2 B6'
_cell_length_a 8.3709
_cell_length_b 8.3709
_cell_length_c 8.3709
_cell_angle_alpha 37.73
_cell_angle_beta 37.73
_cell_angle_gamma 37.73
_symmetry_space_group_name_H-M 'P 1'
_symmetry_Int_Tables_number 1
_symmetry_space_group_name_Hall 'P 1'
loop_
_atom_site_label
_atom_site_type_symbol
_atom_site_fract_x
_atom_site_fract_y
_atom_site_fract_z
Y1 Y 0.0000 0.0000 0.0000
Y2 Y 0.2514 0.2514 0.2514
Y3 Y 0.4163 0.4163 0.4163
Y4 Y 0.5837 0.5837 0.5837
Y5 Y 0.7486 0.7486 0.7486
Co1 Co 0.1202 0.1202 0.1202
Co2 Co 0.8798 0.8798 0.8798
B1 B 0.1684 0.5000 0.8316
B2 B 0.1684 0.8316 0.5000
B3 B 0.5000 0.1684 0.8316
B4 B 0.5000 0.8316 0.1684
B5 B 0.8316 0.1684 0.5000
B6 B 0.8316 0.5000 0.1684
```

Peak list (10 most intense, 10 to 90 degrees two-theta, low angle first)
| 2θ/deg | d [Å] | I_rel |
| --- | --- | --- |
| 22.90 | 3.883 | 12 |
| 26.98 | 3.305 | 8 |
| 33.07 | 2.709 | 100 |
| 36.32 | 2.474 | 17 |
| 40.63 | 2.220 | 27 |
| 47.44 | 1.916 | 9 |
| 58.51 | 1.578 | 9 |
| 59.10 | 1.563 | 26 |
| 61.23 | 1.514 | 7 |
| 69.45 | 1.353 | 8 |